Diffraction record for BaTiSe3. The XRD peak list is computed, not measured: it uses the PBE geometry in the Materials Project and copper Kα.
Peak positions follow from Bragg's law for the DFT cell and can differ from measured ones.

Structure:
a = 7.1228 Å, b = 7.1228 Å, c = 6.0665 Å
α = 90.00°, β = 90.00°, γ = 120.00°
Sites, in units of the cell vectors:
Ba (0.3333, 0.6667, 0.2500)
Ba (0.6667, 0.3333, 0.7500)
Ti (0.0000, 0.0000, 0.0000)
Ti (0.0000, 0.0000, 0.5000)
Se (0.1685, 0.3370, 0.7500)
Se (0.1685, 0.8315, 0.7500)
Se (0.3370, 0.1685, 0.2500)
Se (0.6630, 0.8315, 0.7500)
Se (0.8315, 0.1685, 0.2500)
Se (0.8315, 0.6630, 0.2500)

The 10 most intense peaks (10° ≤ 2θ ≤ 90°), most intense first:
- 2θ 32.57, rel. 100
- 2θ 41.77, rel. 26
- 2θ 54.24, rel. 23
- 2θ 51.31, rel. 23
- 2θ 29.45, rel. 22
- 2θ 60.27, rel. 17
- 2θ 62.10, rel. 15
- 2θ 84.66, rel. 13
- 2θ 28.95, rel. 13
- 2θ 83.78, rel. 11